1.
Diffraction record for Si2SeN2. The powder diffractogram is calculated, not measured: it uses a DFT-relaxed cell (GGA-PBE, the Materials Project) and Cu Kα (λ = 1.5418 Å).
Neutral-atom scattering factors, no anomalous dispersion.

Main lines, in order of falling intensity (15° ≤ 2θ ≤ 90°):
25.43°, 3.502 Å, I 100
34.69°, 2.586 Å, I 28
48.65°, 1.872 Å, I 21
33.03°, 2.712 Å, I 18
29.36°, 3.042 Å, I 15
31.82°, 2.812 Å, I 15
36.58°, 2.457 Å, I 14
64.63°, 1.442 Å, I 14
35.97°, 2.497 Å, I 10
52.24°, 1.751 Å, I 10

Structural model:
```
data_Si2SeN2
_cell_length_a 6.110
_cell_length_b 6.110
_cell_length_c 4.913
_cell_angle_alpha 90.00
_cell_angle_beta 90.00
_cell_angle_gamma 54.81
_space_group_name_H-M_alt 'P 1'
_space_group_IT_number 1
_space_group_name_Hall 'P 1'
loop_
_atom_site_label
_atom_site_type_symbol
_atom_site_fract_x
_atom_site_fract_y
_atom_site_fract_z
Si1 Si 0.043 0.333 0.000
Si2 Si 0.333 0.043 0.500
Si3 Si 0.667 0.957 0.000
Si4 Si 0.957 0.667 0.500
Se1 Se 0.280 0.720 0.358
Se2 Se 0.720 0.280 0.858
N1 N 0.096 0.351 0.345
N2 N 0.351 0.096 0.845
N3 N 0.649 0.904 0.345
N4 N 0.904 0.649 0.845
```

---

2.
Diffraction record for TaRu. The powder diffractogram is calculated, not measured: it uses a DFT-relaxed cell (GGA-PBE, the Materials Project) and Cu Kα (λ = 1.5418 Å).
Neutral-atom scattering factors, no anomalous dispersion.

Main lines, in order of falling intensity (15° ≤ 2θ ≤ 90°):
40.12°, 2.248 Å, I 100
72.89°, 1.298 Å, I 34
58.03°, 1.589 Å, I 17
86.62°, 1.124 Å, I 11
28.07°, 3.179 Å, I 9
65.68°, 1.422 Å, I 4
49.68°, 1.835 Å, I 3

Structural model:
```
data_TaRu
_cell_length_a 3.179
_cell_length_b 3.179
_cell_length_c 3.179
_cell_angle_alpha 90.00
_cell_angle_beta 90.00
_cell_angle_gamma 90.00
_space_group_name_H-M_alt 'P 1'
_space_group_IT_number 1
_space_group_name_Hall 'P 1'
loop_
_atom_site_label
_atom_site_type_symbol
_atom_site_fract_x
_atom_site_fract_y
_atom_site_fract_z
Ta1 Ta 0.000 0.000 0.000
Ru1 Ru 0.500 0.500 0.500
```

---

3.
Diffraction record for GaPt3. The powder diffractogram is calculated, not measured: it uses a DFT-relaxed cell (GGA-PBE, the Materials Project) and Cu Kα (λ = 1.5418 Å).
Neutral-atom scattering factors, no anomalous dispersion.

Main lines, in order of falling intensity (15° ≤ 2θ ≤ 90°):
41.69°, 2.166 Å, I 100
38.23°, 2.354 Å, I 61
71.47°, 1.320 Å, I 35
55.17°, 1.665 Å, I 20
78.38°, 1.220 Å, I 15
18.85°, 4.708 Å, I 11
33.96°, 2.640 Å, I 8
65.42°, 1.427 Å, I 7
59.48°, 1.554 Å, I 6
81.83°, 1.177 Å, I 6

Structural model:
```
data_GaPt3
_cell_length_a 6.659
_cell_length_b 6.659
_cell_length_c 5.706
_cell_angle_alpha 90.00
_cell_angle_beta 90.00
_cell_angle_gamma 90.00
_space_group_name_H-M_alt 'P 1'
_space_group_IT_number 1
_space_group_name_Hall 'P 1'
loop_
_atom_site_label
_atom_site_type_symbol
_atom_site_fract_x
_atom_site_fract_y
_atom_site_fract_z
Ga1 Ga 0.000 0.500 0.243
Ga2 Ga 0.000 0.500 0.757
Ga3 Ga 0.500 0.000 0.243
Ga4 Ga 0.500 0.000 0.757
Pt1 Pt 0.000 0.000 0.252
Pt2 Pt 0.000 0.000 0.748
Pt3 Pt 0.224 0.276 0.500
Pt4 Pt 0.236 0.736 0.000
Pt5 Pt 0.264 0.236 0.000
Pt6 Pt 0.276 0.776 0.500
Pt7 Pt 0.500 0.500 0.252
Pt8 Pt 0.500 0.500 0.748
Pt9 Pt 0.724 0.224 0.500
Pt10 Pt 0.736 0.764 0.000
Pt11 Pt 0.764 0.264 0.000
Pt12 Pt 0.776 0.724 0.500
```

---

4.
Diffraction record for TbAg3H6C6N6O3. The powder diffractogram is calculated, not measured: it uses a DFT-relaxed cell (GGA-PBE, the Materials Project) and Cu Kα (λ = 1.5418 Å).
Neutral-atom scattering factors, no anomalous dispersion.

Main lines, in order of falling intensity (15° ≤ 2θ ≤ 90°):
17.92°, 4.950 Å, I 100
36.30°, 2.475 Å, I 64
30.47°, 2.934 Å, I 45
19.26°, 4.608 Å, I 34
28.06°, 3.180 Å, I 27
50.36°, 1.812 Å, I 22
41.90°, 2.156 Å, I 21
32.90°, 2.722 Å, I 19
58.01°, 1.590 Å, I 15
50.77°, 1.798 Å, I 15

Structural model:
```
data_TbAg3H6C6N6O3
_cell_length_a 6.776
_cell_length_b 6.776
_cell_length_c 18.431
_cell_angle_alpha 90.00
_cell_angle_beta 90.00
_cell_angle_gamma 120.00
_space_group_name_H-M_alt 'P 1'
_space_group_IT_number 1
_space_group_name_Hall 'P 1'
loop_
_atom_site_label
_atom_site_type_symbol
_atom_site_fract_x
_atom_site_fract_y
_atom_site_fract_z
Tb1 Tb 0.000 0.000 0.250
Tb2 Tb 0.000 0.000 0.750
Ag1 Ag 0.000 0.500 0.000
Ag2 Ag 0.000 0.500 0.500
Ag3 Ag 0.500 0.000 0.000
Ag4 Ag 0.500 0.000 0.500
Ag5 Ag 0.500 0.500 0.000
Ag6 Ag 0.500 0.500 0.500
H1 H 0.000 0.446 0.208
H2 H 0.000 0.446 0.292
H3 H 0.000 0.554 0.708
H4 H 0.000 0.554 0.792
H5 H 0.446 0.000 0.208
H6 H 0.446 0.000 0.292
H7 H 0.446 0.446 0.708
H8 H 0.446 0.446 0.792
H9 H 0.554 0.000 0.708
H10 H 0.554 0.000 0.792
H11 H 0.554 0.554 0.208
H12 H 0.554 0.554 0.292
C1 C 0.000 0.346 0.596
C2 C 0.000 0.346 0.904
C3 C 0.000 0.654 0.096
C4 C 0.000 0.654 0.404
C5 C 0.346 0.000 0.596
C6 C 0.346 0.000 0.904
C7 C 0.346 0.346 0.096
C8 C 0.346 0.346 0.404
C9 C 0.654 0.000 0.096
C10 C 0.654 0.000 0.404
C11 C 0.654 0.654 0.596
C12 C 0.654 0.654 0.904
N1 N 0.000 0.256 0.651
N2 N 0.000 0.256 0.849
N3 N 0.000 0.744 0.151
N4 N 0.000 0.744 0.349
N5 N 0.256 0.000 0.651
N6 N 0.256 0.000 0.849
N7 N 0.256 0.256 0.151
N8 N 0.256 0.256 0.349
N9 N 0.744 0.000 0.151
N10 N 0.744 0.000 0.349
N11 N 0.744 0.744 0.651
N12 N 0.744 0.744 0.849
O1 O 0.000 0.360 0.250
O2 O 0.000 0.640 0.750
O3 O 0.360 0.000 0.250
O4 O 0.360 0.360 0.750
O5 O 0.640 0.000 0.750
O6 O 0.640 0.640 0.250
```

---

5.
Diffraction record for Ti6Zn2C. The powder diffractogram is calculated, not measured: it uses a DFT-relaxed cell (GGA-PBE, the Materials Project) and Cu Kα (λ = 1.5418 Å).
Neutral-atom scattering factors, no anomalous dispersion.

Main lines, in order of falling intensity (15° ≤ 2θ ≤ 90°):
25.26°, 3.526 Å, I 100
41.11°, 2.196 Å, I 95
44.73°, 2.026 Å, I 68
51.86°, 1.763 Å, I 47
36.62°, 2.454 Å, I 36
31.89°, 2.807 Å, I 28
38.84°, 2.318 Å, I 26
41.34°, 2.184 Å, I 23
78.78°, 1.215 Å, I 20
66.65°, 1.403 Å, I 18

Structural model:
```
data_Ti6Zn2C
_cell_length_a 3.526
_cell_length_b 3.526
_cell_length_c 13.911
_cell_angle_alpha 90.00
_cell_angle_beta 90.00
_cell_angle_gamma 90.00
_space_group_name_H-M_alt 'P 1'
_space_group_IT_number 1
_space_group_name_Hall 'P 1'
loop_
_atom_site_label
_atom_site_type_symbol
_atom_site_fract_x
_atom_site_fract_y
_atom_site_fract_z
Ti1 Ti 0.000 0.000 0.000
Ti2 Ti 0.000 0.000 0.500
Ti3 Ti 0.000 0.500 0.142
Ti4 Ti 0.000 0.500 0.858
Ti5 Ti 0.500 0.000 0.142
Ti6 Ti 0.500 0.000 0.858
Zn1 Zn 0.000 0.000 0.307
Zn2 Zn 0.000 0.000 0.693
C1 C 0.500 0.500 0.000
```

---

6.
Diffraction record for V. The powder diffractogram is calculated, not measured: it uses a DFT-relaxed cell (GGA-PBE, the Materials Project) and Cu Kα (λ = 1.5418 Å).
Neutral-atom scattering factors, no anomalous dispersion.

Main lines, in order of falling intensity (15° ≤ 2θ ≤ 90°):
42.73°, 2.116 Å, I 100
78.25°, 1.222 Å, I 28
62.03°, 1.496 Å, I 15

Structural model:
```
data_V
_cell_length_a 2.592
_cell_length_b 2.592
_cell_length_c 2.592
_cell_angle_alpha 109.47
_cell_angle_beta 109.47
_cell_angle_gamma 109.47
_space_group_name_H-M_alt 'P 1'
_space_group_IT_number 1
_space_group_name_Hall 'P 1'
loop_
_atom_site_label
_atom_site_type_symbol
_atom_site_fract_x
_atom_site_fract_y
_atom_site_fract_z
V1 V 0.000 0.000 0.000
```

---

7.
Diffraction record for Ba8Ti3Nb4O24. The powder diffractogram is calculated, not measured: it uses a DFT-relaxed cell (GGA-PBE, the Materials Project) and Cu Kα (λ = 1.5418 Å).
Neutral-atom scattering factors, no anomalous dispersion.

Main lines, in order of falling intensity (15° ≤ 2θ ≤ 90°):
30.54°, 2.927 Å, I 100
29.17°, 3.061 Å, I 77
42.74°, 2.116 Å, I 44
53.43°, 1.715 Å, I 28
25.55°, 3.486 Å, I 25
63.57°, 1.464 Å, I 20
54.28°, 1.690 Å, I 20
33.10°, 2.706 Å, I 17
40.23°, 2.242 Å, I 14
45.65°, 1.987 Å, I 14

Structural model:
```
data_Ba8Ti3Nb4O24
_cell_length_a 5.855
_cell_length_b 5.855
_cell_length_c 19.201
_cell_angle_alpha 90.00
_cell_angle_beta 90.00
_cell_angle_gamma 120.00
_space_group_name_H-M_alt 'P 1'
_space_group_IT_number 1
_space_group_name_Hall 'P 1'
loop_
_atom_site_label
_atom_site_type_symbol
_atom_site_fract_x
_atom_site_fract_y
_atom_site_fract_z
Ba1 Ba 0.000 0.000 0.000
Ba2 Ba 0.000 0.000 0.227
Ba3 Ba 0.000 0.000 0.599
Ba4 Ba 0.333 0.667 0.099
Ba5 Ba 0.333 0.667 0.486
Ba6 Ba 0.333 0.667 0.714
Ba7 Ba 0.667 0.333 0.354
Ba8 Ba 0.667 0.333 0.864
Ti1 Ti 0.000 0.000 0.416
Ti2 Ti 0.667 0.333 0.532
Ti3 Ti 0.667 0.333 0.673
Nb1 Nb 0.000 0.000 0.791
Nb2 Nb 0.333 0.667 0.293
Nb3 Nb 0.333 0.667 0.919
Nb4 Nb 0.667 0.333 0.157
O1 O 0.007 0.503 0.235
O2 O 0.016 0.508 0.969
O3 O 0.165 0.330 0.356
O4 O 0.165 0.330 0.843
O5 O 0.165 0.835 0.356
O6 O 0.165 0.835 0.843
O7 O 0.329 0.164 0.475
O8 O 0.334 0.167 0.723
O9 O 0.337 0.168 0.113
O10 O 0.492 0.508 0.969
O11 O 0.492 0.984 0.969
O12 O 0.497 0.503 0.235
O13 O 0.497 0.993 0.235
O14 O 0.519 0.038 0.600
O15 O 0.519 0.481 0.600
O16 O 0.670 0.835 0.356
O17 O 0.670 0.835 0.843
O18 O 0.832 0.168 0.113
O19 O 0.832 0.663 0.113
O20 O 0.833 0.167 0.723
O21 O 0.833 0.666 0.723
O22 O 0.836 0.164 0.475
O23 O 0.836 0.671 0.475
O24 O 0.962 0.481 0.600
```